For LiCu2P5O16, a DFT-relaxed cell (GGA-PBE, the Materials Project) gives the theoretical powder X-ray diffraction pattern in this record (copper Kα).

Crystal structure
Lattice parameters (Å, degrees): 4.9653 6.7188 18.5434 90.00 90.46 90.00
Element x y z (fractional)
Li1 0.0000 0.1242 0.0000
Li2 0.0000 0.8758 0.5000
Cu1 0.0089 0.3215 0.5636
Cu2 0.0089 0.6785 0.0636
Cu3 0.5189 0.3207 0.8797
Cu4 0.5189 0.6793 0.3797
P1 0.0353 0.3733 0.3943
P2 0.0353 0.6267 0.8943
P3 0.2695 0.2535 0.7220
P4 0.2695 0.7465 0.2220
P5 0.4970 0.3756 0.0512
P6 0.4970 0.6244 0.5512
P7 0.5248 0.0332 0.6026
P8 0.5248 0.9668 0.1026
P9 0.9989 0.0370 0.8416
P10 0.9989 0.9630 0.3416
O1 0.0482 0.1952 0.3345
O2 0.0482 0.8048 0.8345
O3 0.0753 0.0972 0.7609
O4 0.0753 0.9028 0.2609
O5 0.1081 0.3672 0.6669
O6 0.1081 0.6328 0.1669
O7 0.1821 0.1342 0.8976
O8 0.1821 0.8658 0.3976
O9 0.1953 0.4187 0.0401
O10 0.1953 0.5813 0.5401
O11 0.3154 0.1145 0.5506
O12 0.3154 0.8855 0.0506
O13 0.3291 0.4351 0.4047
O14 0.3291 0.5649 0.9047
O15 0.4214 0.3764 0.7764
O16 0.4214 0.6236 0.2764
O17 0.4812 0.1063 0.6833
O18 0.4812 0.8937 0.1833
O19 0.4914 0.2008 0.1132
O20 0.4914 0.7992 0.6132
O21 0.6299 0.2766 0.9854
O22 0.6299 0.7234 0.4854
O23 0.6568 0.4552 0.5851
O24 0.6568 0.5448 0.0851
O25 0.7004 0.0666 0.8536
O26 0.7004 0.9334 0.3536
O27 0.8201 0.0584 0.5828
O28 0.8201 0.9416 0.0828
O29 0.8621 0.4660 0.8591
O30 0.8621 0.5340 0.3591
O31 0.9166 0.2733 0.4616
O32 0.9166 0.7267 0.9616

Largest 12 diffraction maxima, by intensity, 10° ≤ 2θ ≤ 80°:
- d 3.906, intensity 100
- d 6.317, intensity 85
- d 4.636, intensity 55
- d 2.751, intensity 38
- d 3.090, intensity 26
- d 2.709, intensity 20
- d 2.668, intensity 20
- d 5.440, intensity 20
- d 3.370, intensity 16
- d 3.659, intensity 15
- d 3.676, intensity 14
- d 2.483, intensity 14

---

For LiCu5P2O8, a DFT-relaxed cell (GGA-PBE, the Materials Project) gives the theoretical powder X-ray diffraction pattern in this record (copper Kα).

Crystal structure
Lattice parameters (Å, degrees): 5.5233 6.2568 10.4770 90.06 90.03 90.01
Element x y z (fractional)
Li1 0.0000 0.0000 0.0000
Li2 0.3497 0.4998 0.2478
Cu1 0.0053 0.5089 0.0004
Cu2 0.0184 0.9939 0.4989
Cu3 0.0246 0.5020 0.5037
Cu4 0.3301 0.0061 0.2483
Cu5 0.3328 0.4956 0.7521
Cu6 0.3401 0.0071 0.7551
Cu7 0.4734 0.2551 0.5018
Cu8 0.4783 0.2473 0.9965
Cu9 0.8711 0.7458 0.7506
Cu10 0.8766 0.7557 0.2472
P1 0.5025 0.7534 0.0061
P2 0.5055 0.7473 0.4977
P3 0.8458 0.2553 0.2488
P4 0.8468 0.2447 0.7548
O1 0.3532 0.9518 0.9562
O2 0.3715 0.5485 0.4379
O3 0.3741 0.5462 0.9514
O4 0.3745 0.9550 0.4472
O5 0.4933 0.7453 0.1538
O6 0.4997 0.7434 0.6455
O7 0.5802 0.2664 0.2003
O8 0.5855 0.2446 0.7012
O9 0.7670 0.7652 0.9556
O10 0.7687 0.7474 0.4465
O11 0.8516 0.2462 0.3969
O12 0.8557 0.2432 0.9026
O13 0.9738 0.0524 0.1882
O14 0.9768 0.4498 0.7010
O15 0.9819 0.0414 0.7019
O16 0.9955 0.4561 0.2019

Largest 12 diffraction maxima, by intensity, 10° ≤ 2θ ≤ 80°:
- d 2.415, intensity 100
- d 2.619, intensity 61
- d 2.722, intensity 46
- d 2.443, intensity 40
- d 2.762, intensity 33
- d 1.470, intensity 33
- d 1.587, intensity 32
- d 1.357, intensity 21
- d 1.564, intensity 18
- d 1.887, intensity 18
- d 1.476, intensity 14
- d 1.900, intensity 13

---

For LiCu2PO4, a DFT-relaxed cell (GGA-PBE, the Materials Project) gives the theoretical powder X-ray diffraction pattern in this record (copper Kα).

Crystal structure
Lattice parameters (Å, degrees): 5.5818 6.2596 10.2099 90.52 90.00 92.99
Element x y z (fractional)
Li1 0.0000 0.0000 0.0000
Li2 0.0107 0.0012 0.4990
Li3 0.1886 0.7604 0.2475
Li4 0.6448 0.9996 0.7473
Cu1 0.0800 0.7408 0.7375
Cu2 0.5805 0.2594 0.9862
Cu3 0.5853 0.2699 0.4768
Cu4 0.6689 0.0505 0.2467
Cu5 0.6883 0.5092 0.7344
Cu6 0.6910 0.4505 0.2263
Cu7 0.9630 0.4835 0.9862
Cu8 0.9745 0.4988 0.4997
P1 0.1485 0.2545 0.2530
P2 0.1659 0.2345 0.7547
P3 0.4832 0.7660 0.0043
P4 0.4918 0.7655 0.5027
O1 0.0096 0.0367 0.7000
O2 0.0200 0.0444 0.1972
O3 0.0393 0.4674 0.2041
O4 0.0430 0.4348 0.6981
O5 0.1522 0.2425 0.9063
O6 0.1519 0.2512 0.4046
O7 0.2174 0.7670 0.9600
O8 0.2356 0.7721 0.4443
O9 0.4061 0.2573 0.1952
O10 0.4272 0.2315 0.7058
O11 0.4863 0.7495 0.6544
O12 0.5023 0.7649 0.1559
O13 0.6042 0.5651 0.9454
O14 0.6248 0.5738 0.4412
O15 0.6369 0.9608 0.9459
O16 0.6512 0.9692 0.4625

Largest 12 diffraction maxima, by intensity, 10° ≤ 2θ ≤ 80°:
- d 2.552, intensity 100
- d 2.788, intensity 82
- d 6.251, intensity 69
- d 2.455, intensity 33
- d 2.356, intensity 32
- d 2.446, intensity 32
- d 2.372, intensity 31
- d 1.882, intensity 28
- d 4.272, intensity 28
- d 2.667, intensity 27
- d 1.562, intensity 27
- d 4.893, intensity 27

---

For Li4CuP2O8, a DFT-relaxed cell (GGA-PBE, the Materials Project) gives the theoretical powder X-ray diffraction pattern in this record (copper Kα).

Crystal structure
Lattice parameters (Å, degrees): 5.2473 6.3832 9.9456 90.44 90.30 90.46
Element x y z (fractional)
Li1 0.0000 0.0000 0.0000
Li2 0.0010 0.0039 0.4989
Li3 0.0136 0.5108 0.4963
Li4 0.1717 0.2546 0.2590
Li5 0.1726 0.2477 0.7460
Li6 0.6475 0.5204 0.2591
Li7 0.6527 0.9984 0.2531
Li8 0.6555 0.0007 0.7465
Cu1 0.0070 0.5049 0.0107
Cu2 0.6512 0.5248 0.7408
P1 0.1493 0.7621 0.7405
P2 0.1522 0.7592 0.2504
P3 0.5101 0.2546 0.5012
P4 0.5143 0.2511 0.9996
O1 0.0184 0.5550 0.3009
O2 0.0196 0.9615 0.3022
O3 0.0214 0.5509 0.7993
O4 0.0218 0.9581 0.8033
O5 0.1159 0.7575 0.5890
O6 0.1168 0.7599 0.0920
O7 0.2272 0.2535 0.0486
O8 0.2273 0.2583 0.5492
O9 0.4340 0.7583 0.7845
O10 0.4359 0.7600 0.2841
O11 0.5126 0.2538 0.8417
O12 0.5178 0.2602 0.3448
O13 0.6460 0.4555 0.0540
O14 0.6512 0.0601 0.0537
O15 0.6509 0.4620 0.5516
O16 0.6545 0.0666 0.5570

Largest 12 diffraction maxima, by intensity, 10° ≤ 2θ ≤ 80°:
- d 4.069, intensity 100
- d 6.383, intensity 84
- d 3.937, intensity 84
- d 2.486, intensity 83
- d 2.624, intensity 73
- d 3.908, intensity 59
- d 3.760, intensity 56
- d 2.717, intensity 52
- d 4.648, intensity 47
- d 3.148, intensity 40
- d 2.736, intensity 37
- d 3.121, intensity 37

---

For LiCu2PO4, a DFT-relaxed cell (GGA-PBE, the Materials Project) gives the theoretical powder X-ray diffraction pattern in this record (copper Kα).

Crystal structure
Lattice parameters (Å, degrees): 5.4672 6.2782 10.3529 90.16 90.12 92.00
Element x y z (fractional)
Li1 0.0000 0.0000 0.0000
Li2 0.0029 0.9883 0.4922
Li3 0.1715 0.7429 0.2436
Li4 0.6540 0.9975 0.2459
Cu1 0.0937 0.7413 0.7491
Cu2 0.5594 0.2572 0.9857
Cu3 0.5598 0.2482 0.4855
Cu4 0.6748 0.9663 0.7578
Cu5 0.6772 0.4509 0.2273
Cu6 0.6780 0.5138 0.7452
Cu7 0.9747 0.4678 0.9923
Cu8 0.9841 0.4879 0.4931
P1 0.1480 0.2334 0.2482
P2 0.1644 0.2376 0.7444
P3 0.4826 0.7569 0.0072
P4 0.4904 0.7527 0.4908
O1 0.0053 0.0339 0.1933
O2 0.0244 0.0374 0.6847
O3 0.0314 0.4389 0.6927
O4 0.0374 0.4486 0.1979
O5 0.1413 0.2332 0.3981
O6 0.1499 0.2325 0.8944
O7 0.2141 0.7623 0.9595
O8 0.2265 0.7557 0.4347
O9 0.4176 0.2248 0.1997
O10 0.4328 0.2429 0.6962
O11 0.4827 0.7503 0.6411
O12 0.4977 0.7486 0.1564
O13 0.6098 0.5599 0.9468
O14 0.6238 0.5518 0.4393
O15 0.6381 0.9576 0.9584
O16 0.6450 0.9510 0.4402

Largest 12 diffraction maxima, by intensity, 10° ≤ 2θ ≤ 80°:
- d 2.588, intensity 100
- d 2.437, intensity 65
- d 6.274, intensity 58
- d 2.732, intensity 56
- d 2.416, intensity 44
- d 2.763, intensity 42
- d 3.258, intensity 38
- d 2.384, intensity 36
- d 2.377, intensity 34
- d 2.681, intensity 33
- d 5.366, intensity 26
- d 1.464, intensity 22

---

For Li2CuPO4, a DFT-relaxed cell (GGA-PBE, the Materials Project) gives the theoretical powder X-ray diffraction pattern in this record (copper Kα).

Crystal structure
Lattice parameters (Å, degrees): 5.3885 6.2457 10.0839 90.11 90.18 90.39
Element x y z (fractional)
Li1 0.0000 0.0000 0.0000
Li2 0.9999 0.9995 0.5001
Li3 0.0014 0.5057 0.4993
Li4 0.1731 0.7523 0.7497
Li5 0.4821 0.2547 0.9999
Li6 0.4826 0.2539 0.5009
Li7 0.6551 0.0046 0.2517
Li8 0.6558 0.0076 0.7504
Cu1 0.1540 0.7553 0.2524
Cu2 0.6547 0.5014 0.2545
Cu3 0.6648 0.4961 0.7511
Cu4 0.9948 0.5135 0.9996
P1 0.1538 0.2463 0.7513
P2 0.1549 0.2464 0.2570
P3 0.5016 0.7582 0.5066
P4 0.5036 0.7625 0.0012
O1 0.0057 0.0508 0.2008
O2 0.0097 0.0455 0.6992
O3 0.0247 0.4544 0.2059
O4 0.0311 0.4566 0.6978
O5 0.1508 0.2486 0.4110
O6 0.1552 0.2450 0.9062
O7 0.2236 0.7540 0.4607
O8 0.2313 0.7676 0.9477
O9 0.4253 0.2396 0.2021
O10 0.4264 0.2395 0.6986
O11 0.5037 0.7654 0.6607
O12 0.5101 0.7678 0.1556
O13 0.6243 0.5463 0.9557
O14 0.6375 0.5491 0.4607
O15 0.6383 0.9599 0.4505
O16 0.6464 0.9615 0.9476

Largest 12 diffraction maxima, by intensity, 10° ≤ 2θ ≤ 80°:
- d 6.246, intensity 100
- d 2.694, intensity 94
- d 2.521, intensity 81
- d 3.177, intensity 66
- d 2.710, intensity 54
- d 1.562, intensity 48
- d 4.066, intensity 47
- d 2.379, intensity 45
- d 1.428, intensity 44
- d 2.373, intensity 43
- d 2.387, intensity 40
- d 3.923, intensity 35

---

For Li2CuP2O7, a DFT-relaxed cell (GGA-PBE, the Materials Project) gives the theoretical powder X-ray diffraction pattern in this record (copper Kα).

Crystal structure
Lattice parameters (Å, degrees): 5.0127 13.3192 9.2077 90.00 118.81 90.00
Element x y z (fractional)
Li1 0.0476 0.1120 0.3647
Li2 0.0476 0.3880 0.8647
Li3 0.4311 0.2041 0.1733
Li4 0.4311 0.2959 0.6733
Li5 0.5689 0.7041 0.3267
Li6 0.5689 0.7959 0.8267
Li7 0.9524 0.6120 0.1353
Li8 0.9524 0.8880 0.6353
Cu1 0.0504 0.1494 0.7551
Cu2 0.0504 0.3506 0.2551
Cu3 0.9496 0.6494 0.7449
Cu4 0.9496 0.8506 0.2449
P1 0.2540 0.6703 0.5276
P2 0.2540 0.8297 0.0276
P3 0.4836 0.5246 0.7782
P4 0.4836 0.9754 0.2782
P5 0.5164 0.0246 0.7218
P6 0.5164 0.4754 0.2218
P7 0.7460 0.1703 0.9724
P8 0.7460 0.3297 0.4724
O1 0.0104 0.1782 0.1472
O2 0.0104 0.3218 0.6472
O3 0.1828 0.7212 0.6569
O4 0.1828 0.7788 0.1569
O5 0.2340 0.5318 0.8308
O6 0.2340 0.9682 0.3308
O7 0.2690 0.1076 0.6350
O8 0.2690 0.3924 0.1350
O9 0.3105 0.5528 0.5796
O10 0.3105 0.9472 0.0796
O11 0.3853 0.5785 0.2093
O12 0.3853 0.9215 0.7093
O13 0.4412 0.2094 0.9539
O14 0.4412 0.2906 0.4539
O15 0.5588 0.7094 0.5461
O16 0.5588 0.7906 0.0461
O17 0.6147 0.0785 0.2907
O18 0.6147 0.4215 0.7907
O19 0.6895 0.0528 0.9204
O20 0.6895 0.4472 0.4204
O21 0.7310 0.6076 0.8650
O22 0.7310 0.8924 0.3650
O23 0.7660 0.0318 0.6692
O24 0.7660 0.4682 0.1692
O25 0.8172 0.2212 0.8431
O26 0.8172 0.2788 0.3431
O27 0.9896 0.6782 0.3528
O28 0.9896 0.8218 0.8528

Largest 12 diffraction maxima, by intensity, 10° ≤ 2θ ≤ 80°:
- d 5.136, intensity 100
- d 4.034, intensity 33
- d 2.762, intensity 32
- d 2.924, intensity 29
- d 3.890, intensity 29
- d 3.667, intensity 25
- d 2.653, intensity 21
- d 2.500, intensity 16
- d 3.504, intensity 16
- d 3.937, intensity 14
- d 1.969, intensity 12
- d 2.293, intensity 12

---

For Li2CuPO4, a DFT-relaxed cell (GGA-PBE, the Materials Project) gives the theoretical powder X-ray diffraction pattern in this record (copper Kα).

Crystal structure
Lattice parameters (Å, degrees): 5.0522 6.1571 5.4513 90.00 90.35 90.00
Element x y z (fractional)
Li1 0.0000 0.0000 0.0000
Li2 0.0002 0.2529 0.5194
Li3 0.0002 0.7471 0.5194
Li4 0.4957 0.5000 0.6912
Cu1 0.4868 0.2414 0.1873
Cu2 0.4868 0.7586 0.1873
P1 0.4957 0.0000 0.6707
P2 0.9910 0.5000 0.0124
O1 0.0804 0.2923 0.1567
O2 0.0804 0.7077 0.1567
O3 0.1031 0.5000 0.7469
O4 0.1875 0.0000 0.6682
O5 0.6043 0.2095 0.5433
O6 0.6043 0.7905 0.5433
O7 0.6099 0.0000 0.9367
O8 0.6830 0.5000 0.9987

Largest 12 diffraction maxima, by intensity, 10° ≤ 2θ ≤ 80°:
- d 2.681, intensity 100
- d 5.052, intensity 85
- d 2.369, intensity 77
- d 5.451, intensity 71
- d 2.526, intensity 57
- d 3.906, intensity 51
- d 2.726, intensity 45
- d 1.565, intensity 34
- d 4.081, intensity 34
- d 2.629, intensity 34
- d 1.841, intensity 29
- d 2.393, intensity 25